1.
The following is a computed powder diffractogram of TbPm12Sc2. It was derived from a GGA-PBE-relaxed structure, using Cu Kα.
Intensities are scaled so that the largest is 100.

Peak list (10 most intense, 2θ from 5° to 70°, low angle first)
d (Å)  I/Imax  index
2.990  20.7  1 9 0
2.937  23.5  0 16 0
2.901  74.3  0 0 2
2.804  100.0  1 7 1
2.657  27.3  1 9 1
2.622  23.9  0 16 1
2.081  14.9  1 9 2
1.655  20.7  1 7 3
1.543  22.6  2 0 2
1.449  13.7  0 0 4

Structural model:
```
data_TbPm12Sc2
_symmetry_space_group_name_H-M 'C m m m'
_symmetry_Int_Tables_number 65
_symmetry_space_group_name_Hall '-C 2 2'
_cell_length_a 3.6448
_cell_length_b 47.0344
_cell_length_c 5.7967
_cell_angle_alpha 90.00
_cell_angle_beta 90.00
_cell_angle_gamma 90.00
loop_
_atom_site_label
_atom_site_type_symbol
_atom_site_fract_x
_atom_site_fract_y
_atom_site_fract_z
_atom_site_occupancy
Tb1 Tb 0.0000 0.0000 0.0000 1
Pm1 Pm 0.0000 0.0973 0.5000 1
Pm2 Pm 0.0000 0.2205 0.5000 1
Pm3 Pm 0.0000 0.2889 0.0000 1
Pm4 Pm 0.0000 0.3408 0.5000 1
Pm5 Pm 0.0000 0.4242 0.0000 1
Pm6 Pm 0.0000 0.4668 0.5000 1
Sc1 Sc 0.0000 0.1428 0.0000 1
```

---

2.
The following is a computed powder diffractogram of Tb2BeSi4Rh3. It was derived from a GGA-PBE-relaxed structure, using Cu Kα.
Intensities are scaled so that the largest is 100.

Peak list (10 most intense, 2θ from 5° to 70°, low angle first)
d (Å)  I/Imax  index
3.760  25.3  1 0 1
3.148  24.7  1 0 2
2.871  46.3  1 1 0
2.759  12.2  1 1 1
2.571  100.0  1 0 3
2.488  93.6  1 1 2
2.030  56.1  2 0 0
1.789  45.0  1 0 5
1.593  46.1  2 1 3
1.436  31.1  2 2 0

Structural model:
```
data_Tb2BeSi4Rh3
_symmetry_space_group_name_H-M 'P -4 m 2'
_symmetry_Int_Tables_number 115
_cell_length_a 4.0606
_cell_length_b 4.0606
_cell_length_c 9.9637
_cell_angle_alpha 90.00
_cell_angle_beta 90.00
_cell_angle_gamma 90.00
loop_
_symmetry_equiv_pos_as_xyz
'x,y,z'
'y,-x,-z'
'-x,-y,z'
'-y,x,-z'
'-x,y,z'
'-y,-x,-z'
'x,-y,z'
'y,x,-z'
loop_
_atom_site_label
_atom_site_type_symbol
_atom_site_fract_x
_atom_site_fract_y
_atom_site_fract_z
_atom_site_occupancy
Tb1 Tb 0.0000 0.5000 0.2482 1
Be1 Be 0.5000 0.5000 0.0000 1
Si1 Si 0.0000 0.0000 0.5000 1
Si2 Si 0.0000 0.5000 0.8683 1
Si3 Si 0.5000 0.5000 0.5000 1
Rh1 Rh 0.0000 0.0000 0.0000 1
Rh2 Rh 0.0000 0.5000 0.6279 1
```

---

3.
The following is a computed powder diffractogram of Ac2Si6Os. It was derived from a GGA-PBE-relaxed structure, using Cu Kα.
Intensities are scaled so that the largest is 100.

Peak list (10 most intense, 2θ from 5° to 70°, low angle first)
d (Å)  I/Imax  index
5.359  25.5  0 0 1
3.782  66.9  1 0 1
3.082  71.7  1 1 0
2.672  54.9  1 1 1
2.392  100.0  1 0 2
1.890  39.1  0 2 2
1.780  15.4  3 0 0
1.694  15.4  0 1 3
1.612  29.9  2 1 2
1.541  18.5  2 2 0

Structural model:
```
data_Ac2Si6Os
_symmetry_space_group_name_H-M 'P -3 m 1'
_symmetry_Int_Tables_number 164
_symmetry_space_group_name_Hall '-P 3 2"'
_cell_length_a 6.1645
_cell_length_b 6.1645
_cell_length_c 5.3590
_cell_angle_alpha 90.00
_cell_angle_beta 90.00
_cell_angle_gamma 120.00
loop_
_atom_site_label
_atom_site_type_symbol
_atom_site_fract_x
_atom_site_fract_y
_atom_site_fract_z
_atom_site_occupancy
Ac1 Ac 0.3333 0.6667 0.3275 1
Si1 Si 0.1634 0.3268 0.8282 1
Os1 Os 0.0000 0.0000 0.5000 1
```

---

Copy entry 2 word for word.
The following is a computed powder diffractogram of Tb2BeSi4Rh3. It was derived from a GGA-PBE-relaxed structure, using Cu Kα.
Intensities are scaled so that the largest is 100.

Peak list (10 most intense, 2θ from 5° to 70°, low angle first)
d (Å)  I/Imax  index
3.760  25.3  1 0 1
3.148  24.7  1 0 2
2.871  46.3  1 1 0
2.759  12.2  1 1 1
2.571  100.0  1 0 3
2.488  93.6  1 1 2
2.030  56.1  2 0 0
1.789  45.0  1 0 5
1.593  46.1  2 1 3
1.436  31.1  2 2 0

Structural model:
```
data_Tb2BeSi4Rh3
_symmetry_space_group_name_H-M 'P -4 m 2'
_symmetry_Int_Tables_number 115
_cell_length_a 4.0606
_cell_length_b 4.0606
_cell_length_c 9.9637
_cell_angle_alpha 90.00
_cell_angle_beta 90.00
_cell_angle_gamma 90.00
loop_
_symmetry_equiv_pos_as_xyz
'x,y,z'
'y,-x,-z'
'-x,-y,z'
'-y,x,-z'
'-x,y,z'
'-y,-x,-z'
'x,-y,z'
'y,x,-z'
loop_
_atom_site_label
_atom_site_type_symbol
_atom_site_fract_x
_atom_site_fract_y
_atom_site_fract_z
_atom_site_occupancy
Tb1 Tb 0.0000 0.5000 0.2482 1
Be1 Be 0.5000 0.5000 0.0000 1
Si1 Si 0.0000 0.0000 0.5000 1
Si2 Si 0.0000 0.5000 0.8683 1
Si3 Si 0.5000 0.5000 0.5000 1
Rh1 Rh 0.0000 0.0000 0.0000 1
Rh2 Rh 0.0000 0.5000 0.6279 1
```